No. 1
Starting from a cell relaxed with PBE, the powder diffractogram of Nd2Dy12Ho5 was computed for CuKα.
Neutral-atom scattering factors, no anomalous dispersion.

Structural model:
Unit cell a=6.737 b=8.775 c=11.350 alpha=111.06 beta=92.42 gamma=100.55
Space group P-1 (No. 2)
Inequivalent atoms, fractional coordinates:
Nd 0.157 0.384 0.071 [2 per cell]
Dy 0.119 0.780 0.248 [2 per cell]
Dy 0.156 0.977 0.866 [2 per cell]
Dy 0.166 0.572 0.685 [2 per cell]
Dy 0.339 0.555 0.413 [2 per cell]
Dy 0.382 0.140 0.233 [2 per cell]
Dy 0.387 0.306 0.774 [2 per cell]
Ho 0.047 0.180 0.462 [2 per cell]
Ho 0.380 0.737 0.985 [2 per cell]
Ho 0.500 0.000 0.500 [1 per cell]

Largest 6 diffraction maxima, low angle first, 2θ from 10° to 90°:
d 2.853, I 35, hkl 0 3 -1
d 2.842, I 100, hkl 2 -1 2
d 2.826, I 45, hkl 1 -3 1
d 2.787, I 96, hkl 2 1 -2
d 2.752, I 58, hkl 1 2 1
d 2.711, I 54, hkl 0 2 -4

=====

No. 2
Starting from a cell relaxed with PBE, the powder diffractogram of Ce6PuCd was computed for CuKα.
Neutral-atom scattering factors, no anomalous dispersion.

Structural model:
Unit cell a=12.636 b=6.024 c=11.781 alpha=90.00 beta=101.15 gamma=90.00
Space group C2/c (No. 15)
Inequivalent atoms, fractional coordinates:
Ce 0.080 0.085 0.396 [8 per cell]
Ce 0.140 0.423 0.035 [8 per cell]
Ce 0.221 0.079 0.681 [8 per cell]
Pu 0.250 0.250 0.500 [4 per cell]
Cd 0.000 0.408 0.750 [4 per cell]

Largest 6 diffraction maxima, low angle first, 2θ from 10° to 90°:
d 5.074, I 42, hkl 1 1 -1
d 2.982, I 47, hkl 4 0 -2
d 2.750, I 100, hkl 3 1 2
d 2.689, I 92, hkl 2 2 -1
d 2.644, I 91, hkl 1 1 -4
d 1.741, I 53, hkl 1 3 3

=====

No. 3
Starting from a cell relaxed with PBE, the powder diffractogram of Ba5SrLi was computed for CuKα.
Neutral-atom scattering factors, no anomalous dispersion.

Structural model:
Unit cell a=6.123 b=6.123 c=10.925 alpha=90.00 beta=90.00 gamma=90.00
Space group P4/mmm (No. 123)
Inequivalent atoms, fractional coordinates:
Ba 0.000 0.000 0.000 [1 per cell]
Ba 0.000 0.500 0.304 [4 per cell]
Sr 0.500 0.500 0.000 [1 per cell]
Li 0.500 0.500 0.500 [1 per cell]

Largest 6 diffraction maxima, low angle first, 2θ from 10° to 90°:
d 4.025, I 58, hkl 1 1 1
d 3.642, I 33, hkl 0 0 3
d 3.393, I 100, hkl 1 1 2
d 3.061, I 54, hkl 2 0 0
d 2.343, I 40, hkl 2 0 3
d 1.825, I 34, hkl 3 1 2